No. 1
Calculated powder X-ray diffraction pattern
Compound: LaTb2Ti
Radiation: Cu Kα X-rays
Structure: DFT lattice parameters and positions (GGA-PBE)
Intensities are scaled so that the largest is 100.

Structural model:
abc: 3.3925 3.3925 35.7936
angles: 90.00 90.00 120.00
Space group R-3m (No. 166, hexagonal axes)
Inequivalent atoms, fractional coordinates:
La 0.0000 0.0000 0.0000 (multiplicity 3)
Tb 0.0000 0.0000 0.4179 (multiplicity 6)
Ti 0.0000 0.0000 0.5000 (multiplicity 3)

Most intense lines, 2θ from 5° to 70°, in order of rising 2θ:
(hkl)  2θ/deg  intensity
0 0 3  7.41  43
0 0 12  29.96  74
1 0 1  30.53  29
0 1 2  30.84  100
0 1 5  32.95  88
1 0 7  35.23  80
1 0 10  39.69  43
0 1 14  47.12  35
1 1 0  54.06  42
1 1 12  63.04  53



No. 2
Calculated powder X-ray diffraction pattern
Compound: Np2O3
Radiation: Cu Kα X-rays
Structure: DFT lattice parameters and positions (GGA-PBE)
Intensities are scaled so that the largest is 100.

Structural model:
abc: 5.9663 5.9663 15.1980
angles: 90.00 90.00 120.00
Space group R-3c (No. 167, hexagonal axes)
Inequivalent atoms, fractional coordinates:
Np 0.0000 0.0000 0.1386 (multiplicity 12)
O 0.0000 0.2824 0.2500 (multiplicity 18)

Most intense lines, 2θ from 5° to 70°, in order of rising 2θ:
(hkl)  2θ/deg  intensity
0 1 2  20.79  10
1 0 4  29.17  100
1 1 0  29.95  100
0 2 4  42.30  42
1 1 6  47.06  19
0 1 8  51.23  16
2 1 4  52.70  44
3 0 0  53.18  26
2 2 0  62.24  14
1 2 8  68.96  13



No. 3
Calculated powder X-ray diffraction pattern
Compound: La2PmDy12
Radiation: Cu Kα X-rays
Structure: DFT lattice parameters and positions (GGA-PBE)
Intensities are scaled so that the largest is 100.

Structural model:
abc: 7.103 11.371 24.945
angles: 90.00 90.05 90.00
Space group C2/m (No. 12)
Inequivalent atoms, fractional coordinates:
La 0.250 0.000 0.231 (multiplicity 4)
La 0.250 0.000 0.769 (multiplicity 4)
Pm 0.250 0.000 0.500 (multiplicity 4)
Dy 0.000 0.000 0.084 (multiplicity 4)
Dy 0.000 0.000 0.374 (multiplicity 4)
Dy 0.000 0.250 0.172 (multiplicity 8)
Dy 0.000 0.250 0.301 (multiplicity 8)
Dy 0.000 0.500 0.374 (multiplicity 4)
Dy 0.001 0.500 0.916 (multiplicity 4)
Dy 0.249 0.251 0.062 (multiplicity 8)
Dy 0.250 0.250 0.421 (multiplicity 8)

Most intense lines, 2θ from 5° to 70°, in order of rising 2θ:
(hkl)  2θ/deg  intensity
2 0 4  28.93  28
0 2 7  29.59  65
2 2 2  30.53  97
0 4 0  31.47  100
2 2 3  31.59  28
0 2 8  32.76  75
2 2 -4  33.03  60
2 2 -6  36.85  70
2 4 11  58.16  26
4 4 0  61.58  32



No. 4
Calculated powder X-ray diffraction pattern
Compound: DyPbBr5
Radiation: Cu Kα X-rays
Structure: DFT lattice parameters and positions (GGA-PBE)
Intensities are scaled so that the largest is 100.

Structural model:
abc: 10.876 10.589 10.996
angles: 90.00 116.53 90.00
Space group C2/c (No. 15)
Inequivalent atoms, fractional coordinates:
Dy 0.250 0.250 0.000 (multiplicity 4)
Pb 0.000 0.081 0.250 (multiplicity 4)
Br 0.000 0.235 0.750 (multiplicity 4)
Br 0.098 0.290 0.145 (multiplicity 8)
Br 0.231 0.010 0.523 (multiplicity 8)

Most intense lines, 2θ from 5° to 70°, in order of rising 2θ:
(hkl)  2θ/deg  intensity
1 1 0  12.35  58
1 1 1  17.55  100
2 0 -2  19.08  85
3 1 -2  26.64  37
1 3 -1  27.02  64
2 0 2  31.09  70
3 3 -3  38.65  53
4 0 -4  38.74  39
3 3 1  41.76  30
2 0 -6  50.16  29



No. 5
Calculated powder X-ray diffraction pattern
Compound: HgPtSO6
Radiation: Cu Kα X-rays
Structure: DFT lattice parameters and positions (GGA-PBE)
Intensities are scaled so that the largest is 100.

Structural model:
abc: 4.9913 4.9913 4.9959
angles: 90.00 90.00 120.00
Space group P312 (No. 149)
Inequivalent atoms, fractional coordinates:
Hg 0.0000 0.0000 0.0000 (multiplicity 1)
Pt 0.3333 0.6667 0.5000 (multiplicity 1)
S 0.6667 0.3333 0.5000 (multiplicity 1)
O 0.3963 0.0466 0.6982 (multiplicity 6)

Most intense lines, 2θ from 5° to 70°, in order of rising 2θ:
(hkl)  2θ/deg  intensity
1 0 0  20.55  15
1 0 1  27.28  100
1 1 0  35.98  39
2 0 0  41.78  14
2 0 1  45.74  24
2 -1 2  51.78  31
2 1 0  56.30  6
3 -1 1  59.52  35
3 0 0  64.69  9
2 1 2  68.64  3



No. 6
Calculated powder X-ray diffraction pattern
Compound: K5TaTl2As4
Radiation: Cu Kα X-rays
Structure: DFT lattice parameters and positions (GGA-PBE)
Intensities are scaled so that the largest is 100.

Structural model:
abc: 18.860 10.737 7.738
angles: 90.00 90.00 90.00
Space group Pnma (No. 62)
Inequivalent atoms, fractional coordinates:
K 0.017 0.250 0.095 (multiplicity 4)
K 0.078 0.025 0.701 (multiplicity 8)
K 0.247 0.552 0.471 (multiplicity 8)
Ta 0.165 0.750 0.078 (multiplicity 4)
Tl 0.053 0.750 0.430 (multiplicity 4)
Tl 0.178 0.250 0.310 (multiplicity 4)
As 0.102 0.561 0.193 (multiplicity 8)
As 0.166 0.750 0.756 (multiplicity 4)
As 0.206 0.250 0.667 (multiplicity 4)

Most intense lines, 2θ from 5° to 70°, in order of rising 2θ:
(hkl)  2θ/deg  intensity
2 1 0  12.49  45
2 0 1  14.84  100
0 2 0  16.51  90
5 1 1  27.59  66
3 1 2  28.33  50
2 2 2  30.01  40
3 3 1  30.99  34
6 1 1  31.85  40
6 2 0  33.02  49
0 4 0  33.38  46



No. 7
Calculated powder X-ray diffraction pattern
Compound: Pm3Sm6Y
Radiation: Cu Kα X-rays
Structure: DFT lattice parameters and positions (GGA-PBE)
Intensities are scaled so that the largest is 100.

Structural model:
abc: 11.541 6.900 9.149
angles: 90.00 108.08 90.00
Space group C2/m (No. 12)
Inequivalent atoms, fractional coordinates:
Pm 0.000 0.000 0.000 (multiplicity 2)
Pm 0.077 0.500 0.174 (multiplicity 4)
Sm 0.126 0.000 0.421 (multiplicity 4)
Sm 0.185 0.260 0.800 (multiplicity 8)
Y 0.000 0.500 0.500 (multiplicity 2)

Most intense lines, 2θ from 5° to 70°, in order of rising 2θ:
(hkl)  2θ/deg  intensity
1 1 2  27.53  30
3 1 -2  29.58  15
2 0 2  29.92  19
2 0 -3  30.06  17
2 2 -1  30.63  100
0 0 3  30.84  16
4 0 -1  31.00  32
1 1 -3  32.11  44
0 2 2  33.15  24
6 2 -2  54.93  19



No. 8
Calculated powder X-ray diffraction pattern
Compound: Ac7Ni5
Radiation: Cu Kα X-rays
Structure: DFT lattice parameters and positions (GGA-PBE)
Intensities are scaled so that the largest is 100.

Structural model:
abc: 14.011 4.170 12.944
angles: 90.00 104.25 90.00
Space group C2/m (No. 12)
Inequivalent atoms, fractional coordinates:
Ac 0.000 0.000 0.000 (multiplicity 2)
Ac 0.040 0.500 0.285 (multiplicity 4)
Ac 0.153 0.000 0.552 (multiplicity 4)
Ac 0.238 0.000 0.861 (multiplicity 4)
Ni 0.000 0.500 0.500 (multiplicity 2)
Ni 0.115 0.500 0.927 (multiplicity 4)
Ni 0.198 0.000 0.322 (multiplicity 4)

Most intense lines, 2θ from 5° to 70°, in order of rising 2θ:
(hkl)  2θ/deg  intensity
4 0 -1  25.44  57
1 1 2  27.36  71
2 0 3  27.67  100
2 0 -4  28.25  97
3 1 -1  28.79  55
3 1 -2  30.23  77
3 1 1  31.15  49
0 2 0  43.40  51
3 1 5  50.70  48
2 2 3  52.25  45



No. 9
Calculated powder X-ray diffraction pattern
Compound: ZrPdSe4
Radiation: Cu Kα X-rays
Structure: DFT lattice parameters and positions (GGA-PBE)
Intensities are scaled so that the largest is 100.

Structural model:
abc: 6.475 6.109 7.139
angles: 90.00 98.04 90.00
Space group P2_1/c (No. 14)
Inequivalent atoms, fractional coordinates:
Zr 0.000 0.000 0.000 (multiplicity 2)
Pd 0.500 0.000 0.500 (multiplicity 2)
Se 0.146 0.132 0.349 (multiplicity 4)
Se 0.384 0.626 0.402 (multiplicity 4)

Most intense lines, 2θ from 5° to 70°, in order of rising 2θ:
(hkl)  2θ/deg  intensity
1 1 -1  22.66  50
0 0 2  25.20  54
1 0 -2  27.05  100
2 1 0  31.52  73
0 2 1  31.92  68
1 1 2  33.96  48
3 1 -1  45.08  45
1 1 3  45.32  57
3 1 1  48.54  47
1 3 1  49.21  50